Starting from a crystal structure in Alexandria, relaxed with GGA-PBE, the PXRD pattern of TlRe6Se8Cl3 was computed for Cu Kα.
Intensities are scaled so that the largest is 100.

Main lines, sorted by position (15° ≤ 2θ ≤ 90°):
| Position (°2θ) | I (rel.) | hkl |
| --- | --- | --- |
| 15.41 | 47 | 1 0 1 |
| 31.88 | 25 | 2 -1 2 |
| 32.78 | 37 | 1 1 3 |
| 34.61 | 27 | 3 1 -3 |
| 39.08 | 29 | 3 1 -4 |
| 40.84 | 24 | 1 4 0 |
| 42.95 | 41 | 1 4 1 |
| 44.03 | 100 | 0 3 -4 |
| 44.22 | 54 | -2 3 4 |
| 49.53 | 37 | 4 -3 0 |

Crystal structure
abc: 9.1914 9.3789 11.2283
angles: 90.91 110.23 94.11
Space group P-1 (No. 2)
Unique sites:
Tl (0.0469, 0.3651, 0.1422) [2 per cell]
Re (0.1400, 0.0496, 0.6478) [2 per cell]
Re (0.2990, 0.2544, 0.8153) [2 per cell]
Re (0.3001, 0.2577, 0.5800) [2 per cell]
Re (0.3934, 0.9933, 0.8376) [2 per cell]
Re (0.3942, 0.9927, 0.6018) [2 per cell]
Re (0.4425, 0.8023, 0.2307) [2 per cell]
Se (0.0600, 0.3041, 0.6304) [2 per cell]
Se (0.1464, 0.0479, 0.8759) [2 per cell]
Se (0.1553, 0.0551, 0.4178) [2 per cell]
Se (0.2362, 0.8006, 0.6726) [2 per cell]
Se (0.3663, 0.0584, 0.2126) [2 per cell]
Se (0.4481, 0.7890, 0.4585) [2 per cell]
Se (0.4488, 0.7896, 0.0058) [2 per cell]
Se (0.4588, 0.4467, 0.7463) [2 per cell]
Cl (0.1725, 0.7054, 0.1552) [2 per cell]
Cl (0.2366, 0.4269, 0.9517) [2 per cell]
Cl (0.2452, 0.4351, 0.4209) [2 per cell]


Starting from a crystal structure in Alexandria, relaxed with GGA-PBE, the PXRD pattern of Rb2HgC2O6 was computed for Cu Kα.
Intensities are scaled so that the largest is 100.

Main lines, sorted by position (15° ≤ 2θ ≤ 90°):
| Position (°2θ) | I (rel.) | hkl |
| --- | --- | --- |
| 18.83 | 86 | 1 1 0 |
| 25.83 | 94 | 1 1 1 |
| 26.52 | 55 | 2 0 1 |
| 28.68 | 100 | 3 1 -1 |
| 30.62 | 58 | 4 0 -1 |
| 31.16 | 73 | 1 1 -2 |
| 33.60 | 55 | 3 1 -2 |
| 43.38 | 38 | 2 2 -2 |
| 43.61 | 66 | 2 2 1 |
| 46.46 | 49 | 5 1 0 |

Crystal structure
abc: 11.6820 5.2730 6.9256
angles: 90.00 115.83 90.00
Space group C2/m (No. 12)
Unique sites:
Rb (0.1900, 0.0000, 0.1890) [4 per cell]
Hg (0.0000, 0.0000, 0.5000) [2 per cell]
C (0.0049, 0.5000, 0.2744) [4 per cell]
O (0.0628, 0.2876, 0.7779) [8 per cell]
O (0.1253, 0.5000, 0.3645) [4 per cell]